Structure and computed X-ray diffraction stick pattern of TbO2 (a cell relaxed with PBE; copper Kα).

Structural model:
```
data_TbO2
_space_group_name_H-M_alt 'F m -3 m'
_space_group_IT_number 225
_space_group_name_Hall '-F 4 2 3'
_cell_length_a 5.472
_cell_length_b 5.472
_cell_length_c 5.472
_cell_angle_alpha 90.00
_cell_angle_beta 90.00
_cell_angle_gamma 90.00
loop_
_atom_site_label
_atom_site_type_symbol
_atom_site_fract_x
_atom_site_fract_y
_atom_site_fract_z
_atom_site_occupancy
Tb1 Tb 0.000 0.000 0.000 1
O1 O 0.250 0.250 0.250 1
```

The 6 most intense peaks (2θ = 15–90°), low angle first:
2θ (°), Rel. int., hkl
28.25, 100, 1 1 1
32.73, 31, 2 0 0
46.97, 53, 2 2 0
55.71, 45, 3 1 1
75.77, 18, 3 3 1
87.29, 17, 4 2 2